Record 1
Diffraction record for Ho9Sn3C2. The powder X-ray diffraction pattern is simulated, not measured: it uses a structure optimized by DFT (PBE) and Cu Ka.
Kinematic intensities with the Lorentz-polarization factor, no thermal factor.

Principal peaks in the range 2θ from 15° to 90°, by angle:
2θ (°)	d (Å)	I/Imax
18.28	4.852	2
25.97	3.431	1
31.95	2.801	100
37.06	2.426	53
41.62	2.170	1
53.41	1.715	37
63.60	1.463	43
66.79	1.401	13
78.92	1.213	6
87.67	1.113	18

Structural model:
a = 6.8600 Å, b = 6.8600 Å, c = 8.4088 Å
α = 90.00°, β = 90.00°, γ = 120.00°
Space group P-3m1 (No. 164)
Symmetry-distinct sites (fractional):
Ho: 0.0000 0.5000 0.0000
Ho: 0.1693 0.3386 0.6690
Sn: 0.0000 0.0000 0.0000
Sn: 0.3333 0.6667 0.3337
C: 0.3333 0.6667 0.8299



Record 2
Diffraction record for Ag4Pd2Pt. The powder X-ray diffraction pattern is simulated, not measured: it uses a structure optimized by DFT (PBE) and Cu Ka.
Kinematic intensities with the Lorentz-polarization factor, no thermal factor.

Principal peaks in the range 2θ from 15° to 90°, by angle:
2θ (°)	d (Å)	I/Imax
34.68	2.586	40
37.59	2.393	100
37.71	2.386	41
38.71	2.326	63
39.89	2.260	97
40.43	2.231	80
40.71	2.216	48
41.58	2.172	60
42.60	2.122	38
43.38	2.086	71

Structural model:
a = 7.0593 Å, b = 5.1726 Å, c = 7.4634 Å
α = 90.00°, β = 116.84°, γ = 90.00°
Space group P2_1/m (No. 11)
Symmetry-distinct sites (fractional):
Ag: 0.1092 0.0010 0.2222
Ag: 0.1184 0.7500 0.5738
Ag: 0.2610 0.2500 0.7897
Pd: 0.3008 0.7500 0.0001
Pd: 0.4907 0.2500 0.5766
Pt: 0.4511 0.2500 0.2015



Record 3
Diffraction record for Pr3UCl3O6. The powder X-ray diffraction pattern is simulated, not measured: it uses a structure optimized by DFT (PBE) and Cu Ka.
Kinematic intensities with the Lorentz-polarization factor, no thermal factor.

Principal peaks in the range 2θ from 15° to 90°, by angle:
2θ (°)	d (Å)	I/Imax
24.52	3.631	44
26.83	3.323	57
28.63	3.118	28
31.90	2.805	29
32.57	2.749	20
32.87	2.725	100
43.39	2.085	33
46.23	1.964	22
50.93	1.793	33
57.46	1.604	20

Structural model:
a = 9.5244 Å, b = 9.5244 Å, c = 5.6104 Å
α = 90.00°, β = 90.00°, γ = 120.00°
Space group P6_3/m (No. 176)
Symmetry-distinct sites (fractional):
Pr: 0.0895 0.6848 0.2500
U: 0.3333 0.6667 0.7500
Cl: 0.0586 0.8102 0.7500
O: 0.1515 0.5173 0.5073